# CeTlIn2Br8
Computed powder XRD pattern, λ = 1.5418 Å (Cu Kα). Input: a structure optimized by DFT (PBE).

Main lines, most intense first (15° ≤ 2θ ≤ 90°):
- 2θ 17.93, I 100, hkl 1 0 -1
- 2θ 34.81, I 81, hkl 2 2 -1
- 2θ 26.17, I 63, hkl 1 2 1
- 2θ 42.39, I 40, hkl 0 2 3
- 2θ 34.07, I 38, hkl 1 2 -2
- 2θ 22.99, I 36, hkl 1 2 0
- 2θ 36.31, I 32, hkl 2 0 2
- 2θ 28.07, I 31, hkl 1 0 -2
- 2θ 38.35, I 24, hkl 0 4 0
- 2θ 42.63, I 22, hkl 1 4 1
- 2θ 53.84, I 18, hkl 2 4 2
- 2θ 56.52, I 16, hkl 1 2 -4

Structure:
```
data_CeTlIn2Br8
_cell_length_a 6.8278
_cell_length_b 9.3886
_cell_length_c 7.1813
_cell_angle_alpha 90.00
_cell_angle_beta 90.05
_cell_angle_gamma 90.00
_space_group_name_H-M_alt 'P 1 2/m 1'
_space_group_IT_number 10
loop_
_space_group_symop_operation_xyz
'x,y,z'
'-x,-y,-z'
'-x,y,-z'
'x,-y,z'
loop_
_atom_site_label
_atom_site_type_symbol
_atom_site_fract_x
_atom_site_fract_y
_atom_site_fract_z
Ce1 Ce 0.0000 0.0000 0.0000
Tl1 Tl 0.0000 0.5000 0.0000
In1 In 0.5000 0.2560 0.5000
Br1 Br 0.2357 0.2178 0.1611
Br2 Br 0.2566 0.0000 0.6807
Br3 Br 0.2878 0.5000 0.6365
```